1.
CeMnBi: theoretical XRD peak list (λ = 1.5418 Å (Cu Kα)), based on the GGA-PBE geometry in Alexandria.

Structure:
```
CeMnBi
1.0
3.4029 0.0000 0.0000
0.0000 23.7673 0.0000
0.0000 0.0000 3.6716
Ce Mn Bi
4 4 4
Direct
0.0000 0.1691 0.2500
0.0000 0.8309 0.7500
0.5000 0.3309 0.7500
0.5000 0.6691 0.2500
0.0000 0.2590 0.2500
0.0000 0.7410 0.7500
0.5000 0.2410 0.7500
0.5000 0.7590 0.2500
0.0000 0.4346 0.2500
0.0000 0.5654 0.7500
0.5000 0.0654 0.7500
0.5000 0.9346 0.2500
```

Largest 10 diffraction maxima, low angle first, 10° ≤ 2θ ≤ 80°:
2θ (°)  I_rel
26.46  13
28.57  100
30.08  18
32.36  13
36.19  52
37.42  27
37.82  20
49.66  13
56.32  27
62.12  17

=====

2.
Ce5Bi2N: theoretical XRD peak list (λ = 1.5418 Å (Cu Kα)), based on the GGA-PBE geometry in Alexandria.

Structure:
```
Ce5Bi2N
1.0
0.0000 4.8350 7.9418
2.8044 0.0000 7.9418
2.8044 4.8350 0.0000
Ce Bi N
5 2 1
Direct
0.0000 0.0000 0.0000
0.2196 0.5569 0.4431
0.4431 0.7804 0.2196
0.5569 0.2196 0.7804
0.7804 0.4431 0.5569
0.1963 0.1963 0.8037
0.8037 0.8037 0.1963
0.5000 0.5000 0.5000
```

Largest 10 diffraction maxima, low angle first, 10° ≤ 2θ ≤ 80°:
2θ (°)  I_rel
29.10  32
31.91  58
32.53  83
33.72  100
36.35  34
38.79  18
43.73  21
57.26  17
58.04  30
58.22  23

=====

3.
Ce3Bi2N: theoretical XRD peak list (λ = 1.5418 Å (Cu Kα)), based on the GGA-PBE geometry in Alexandria.

Structure:
```
Ce3Bi2N
1.0
6.7101 -3.3087 0.0000
6.7101 3.3087 0.0000
-1.5593 0.0000 7.9335
Ce Bi N
6 4 2
Direct
0.1125 0.8875 0.7500
0.2848 0.4508 0.3447
0.4508 0.2848 0.8447
0.5492 0.7152 0.1553
0.7152 0.5492 0.6553
0.8875 0.1125 0.2500
0.1050 0.2383 0.0325
0.2383 0.1050 0.5325
0.7617 0.8950 0.4675
0.8950 0.7617 0.9675
0.4465 0.5535 0.7500
0.5535 0.4465 0.2500
```

Largest 10 diffraction maxima, low angle first, 10° ≤ 2θ ≤ 80°:
2θ (°)  I_rel
26.95  32
28.42  79
29.25  39
30.46  100
33.24  39
35.98  32
36.73  30
41.13  21
47.04  37
65.14  21

=====

4.
Ce10Bi4N3: theoretical XRD peak list (λ = 1.5418 Å (Cu Kα)), based on the GGA-PBE geometry in Alexandria.

Structure:
```
Ce10Bi4N3
1.0
-2.4429 2.4429 18.0691
2.4429 -2.4429 18.0691
2.4429 2.4429 -18.0691
Ce Bi N
10 4 3
Direct
0.0000 0.5000 0.5000
0.0684 0.0684 0.0000
0.1331 0.6331 0.5000
0.2061 0.2061 0.0000
0.3669 0.8669 0.5000
0.5000 0.0000 0.5000
0.6331 0.1331 0.5000
0.7939 0.7939 0.0000
0.8669 0.3669 0.5000
0.9316 0.9316 0.0000
0.2993 0.2993 0.0000
0.4330 0.4330 0.0000
0.5670 0.5670 0.0000
0.7007 0.7007 0.0000
0.0000 0.0000 0.0000
0.1392 0.1392 0.0000
0.8608 0.8608 0.0000
```

Largest 10 diffraction maxima, low angle first, 10° ≤ 2θ ≤ 80°:
2θ (°)  I_rel
29.81  25
32.63  100
34.75  17
36.79  50
51.51  22
53.01  18
55.40  10
62.62  18
63.65  30
64.96  11

=====

5.
CePm2Bi2N2: theoretical XRD peak list (λ = 1.5418 Å (Cu Kα)), based on the GGA-PBE geometry in Alexandria.

Structure:
```
CePm2Bi2N2
1.0
4.5219 0.0000 0.0000
0.0000 4.5219 0.0000
0.0000 0.0000 16.2463
Ce Pm Bi N
2 4 4 4
Direct
0.0000 0.0000 0.0000
0.5000 0.5000 0.5000
0.0000 0.0000 0.4010
0.0000 0.0000 0.5990
0.5000 0.5000 0.0990
0.5000 0.5000 0.9010
0.0000 0.0000 0.2055
0.0000 0.0000 0.7945
0.5000 0.5000 0.2945
0.5000 0.5000 0.7055
0.0000 0.5000 0.0000
0.0000 0.5000 0.5000
0.5000 0.0000 0.0000
0.5000 0.0000 0.5000
```

Largest 10 diffraction maxima, low angle first, 10° ≤ 2θ ≤ 80°:
2θ (°)  I_rel
27.90  79
33.97  100
39.87  35
53.36  56
56.66  6
57.66  12
64.32  15
65.25  15
68.64  13
71.51  12

=====

6.
Ce2PuBiN2: theoretical XRD peak list (λ = 1.5418 Å (Cu Kα)), based on the GGA-PBE geometry in Alexandria.

Structure:
```
Ce2PuBiN2
1.0
4.3862 0.0000 0.0000
0.0000 4.3862 0.0000
0.0000 0.0000 6.7236
Ce Pu Bi N
2 1 1 2
Direct
0.0000 0.0000 0.2328
0.0000 0.0000 0.7672
0.5000 0.5000 0.0000
0.5000 0.5000 0.5000
0.0000 0.5000 0.0000
0.5000 0.0000 0.0000
```

Largest 10 diffraction maxima, low angle first, 10° ≤ 2θ ≤ 80°:
2θ (°)  I_rel
20.25  8
28.79  70
33.59  100
41.16  31
54.13  53
59.62  11
62.89  16
67.53  13
70.20  12
70.60  12

=====

7.
Ce4Pu2Bi3N2: theoretical XRD peak list (λ = 1.5418 Å (Cu Kα)), based on the GGA-PBE geometry in Alexandria.

Structure:
```
Ce4Pu2Bi3N2
1.0
-2.3870 2.3870 13.2177
2.3870 -2.3870 13.2177
2.3870 2.3870 -13.2177
Ce Pu Bi N
4 2 3 2
Direct
0.0874 0.5874 0.5000
0.4126 0.9126 0.5000
0.5874 0.0874 0.5000
0.9126 0.4126 0.5000
0.1926 0.1926 0.0000
0.8074 0.8074 0.0000
0.3188 0.3188 0.0000
0.5000 0.5000 0.0000
0.6812 0.6812 0.0000
0.1063 0.1063 0.0000
0.8937 0.8937 0.0000
```

Largest 10 diffraction maxima, low angle first, 10° ≤ 2θ ≤ 80°:
2θ (°)  I_rel
26.40  15
27.27  40
29.72  19
33.44  100
33.91  19
37.69  55
51.59  23
54.36  19
62.60  18
65.34  30

=====

8.
Ce2Pu4Bi3N2: theoretical XRD peak list (λ = 1.5418 Å (Cu Kα)), based on the GGA-PBE geometry in Alexandria.

Structure:
```
Ce2Pu4Bi3N2
1.0
-2.3467 2.3467 13.4040
2.3467 -2.3467 13.4040
2.3467 2.3467 -13.4040
Ce Pu Bi N
2 4 3 2
Direct
0.1931 0.1931 0.0000
0.8069 0.8069 0.0000
0.0860 0.5860 0.5000
0.4140 0.9140 0.5000
0.5860 0.0860 0.5000
0.9140 0.4140 0.5000
0.3204 0.3204 0.0000
0.5000 0.5000 0.0000
0.6796 0.6796 0.0000
0.1082 0.1082 0.0000
0.8918 0.8918 0.0000
```

Largest 10 diffraction maxima, low angle first, 10° ≤ 2θ ≤ 80°:
2θ (°)  I_rel
27.69  30
30.06  28
33.43  14
33.64  100
38.36  46
51.77  16
55.37  19
56.91  13
62.06  16
66.37  30

=====

9.
Ce5Bi2SeN: theoretical XRD peak list (λ = 1.5418 Å (Cu Kα)), based on the GGA-PBE geometry in Alexandria.

Structure:
```
Ce5Bi2SeN
1.0
4.6797 0.0000 0.0000
0.0000 4.6797 0.0000
0.0000 0.0000 11.4615
Ce Bi Se N
5 2 1 1
Direct
0.0000 0.0000 0.0000
0.0000 0.5000 0.5000
0.5000 0.0000 0.5000
0.5000 0.5000 0.2577
0.5000 0.5000 0.7423
0.0000 0.0000 0.2859
0.0000 0.0000 0.7141
0.5000 0.5000 0.0000
0.5000 0.5000 0.5000
```

Largest 10 diffraction maxima, low angle first, 10° ≤ 2θ ≤ 80°:
2θ (°)  I_rel
26.94  40
28.07  25
31.21  100
35.90  56
38.47  55
50.35  38
55.54  23
63.38  22
65.10  35
67.93  18

=====

10.
NaCe3Bi12: theoretical XRD peak list (λ = 1.5418 Å (Cu Kα)), based on the GGA-PBE geometry in Alexandria.

Structure:
```
NaCe3Bi12
1.0
4.9365 0.0000 0.0000
0.0000 4.9365 0.0000
0.0000 0.0000 20.0184
Na Ce Bi
1 3 12
Direct
0.0000 0.0000 0.0000
0.0000 0.0000 0.2542
0.0000 0.0000 0.5000
0.0000 0.0000 0.7458
0.0000 0.5000 0.1252
0.0000 0.5000 0.3763
0.0000 0.5000 0.6237
0.0000 0.5000 0.8748
0.5000 0.0000 0.1252
0.5000 0.0000 0.3763
0.5000 0.0000 0.6237
0.5000 0.0000 0.8748
0.5000 0.5000 0.0000
0.5000 0.5000 0.2493
0.5000 0.5000 0.5000
0.5000 0.5000 0.7507
```

Largest 10 diffraction maxima, low angle first, 10° ≤ 2θ ≤ 80°:
2θ (°)  I_rel
17.97  3
31.24  100
35.89  17
36.40  34
52.04  25
52.43  12
61.62  15
62.30  29
65.17  13
77.32  4

=====

11.
NaCeBi: theoretical XRD peak list (λ = 1.5418 Å (Cu Kα)), based on the GGA-PBE geometry in Alexandria.

Structure:
```
NaCeBi
1.0
2.5499 1.4722 9.2425
-2.5499 1.4722 9.2425
0.0000 -2.9444 9.2425
Na Ce Bi
2 2 2
Direct
0.1358 0.1358 0.1358
0.8642 0.8642 0.8642
0.2947 0.2947 0.2947
0.7053 0.7053 0.7053
0.4210 0.4210 0.4210
0.5790 0.5790 0.5790
```

Largest 10 diffraction maxima, low angle first, 10° ≤ 2θ ≤ 80°:
2θ (°)  I_rel
19.21  26
20.36  90
30.31  100
32.85  28
35.20  77
40.40  25
47.12  30
50.50  16
60.15  32
74.36  19

=====

12.
Ce3NdBi4: theoretical XRD peak list (λ = 1.5418 Å (Cu Kα)), based on the GGA-PBE geometry in Alexandria.

Structure:
```
Ce3NdBi4
1.0
6.5115 0.0000 0.0000
0.0000 6.5115 0.0000
0.0000 0.0000 6.5115
Ce Nd Bi
3 1 4
Direct
0.0000 0.0000 0.5000
0.0000 0.5000 0.0000
0.5000 0.0000 0.0000
0.5000 0.5000 0.5000
0.0000 0.0000 0.0000
0.0000 0.5000 0.5000
0.5000 0.0000 0.5000
0.5000 0.5000 0.0000
```

Largest 10 diffraction maxima, low angle first, 10° ≤ 2θ ≤ 80°:
2θ (°)  I_rel
23.67  6
27.39  100
39.13  79
46.24  4
48.43  29
56.53  14
62.14  2
63.94  38
70.90  28
75.93  1